1.
Na2Zn2Te3O9: calculated powder X-ray diffraction pattern (Cu Kα X-rays), based on a cell relaxed with PBE.
Kinematic intensities with the Lorentz-polarization factor, no thermal factor.

Main lines, by intensity (2θ from 10° to 90°):
| 2θ (°) | I/Imax |
| --- | --- |
| 22.83 | 100.0 |
| 33.70 | 45.1 |
| 17.25 | 39.5 |
| 27.39 | 34.4 |
| 37.00 | 28.4 |
| 41.14 | 26.1 |
| 28.79 | 23.5 |
| 52.56 | 17.6 |
| 58.00 | 16.9 |
| 30.06 | 14.1 |

Structural model:
```
data_Na2Zn2Te3O9
_symmetry_space_group_name_H-M 'P 63/m'
_symmetry_Int_Tables_number 176
_symmetry_space_group_name_Hall '-P 6c'
_cell_length_a 8.4163
_cell_length_b 8.4163
_cell_length_c 10.2806
_cell_angle_alpha 90.00
_cell_angle_beta 90.00
_cell_angle_gamma 120.00
loop_
_atom_site_label
_atom_site_fract_x
_atom_site_fract_y
_atom_site_fract_z
Na1 0.0000 0.0000 0.1241
Zn1 0.3333 0.6667 0.0916
Te1 0.0228 0.3967 0.7500
O1 0.1221 0.8655 0.7500
O2 0.1402 0.7219 0.1066
```

***

2.
K2HgSCl2O4: calculated powder X-ray diffraction pattern (Cu Kα X-rays), based on a cell relaxed with PBE.
Kinematic intensities with the Lorentz-polarization factor, no thermal factor.

Main lines, by intensity (2θ from 10° to 90°):
| 2θ (°) | I/Imax |
| --- | --- |
| 24.34 | 100.0 |
| 29.34 | 96.4 |
| 28.21 | 84.7 |
| 17.47 | 83.6 |
| 40.84 | 69.7 |
| 31.75 | 65.6 |
| 17.27 | 64.0 |
| 24.07 | 55.1 |
| 25.43 | 53.0 |
| 13.34 | 51.7 |

Structural model:
```
data_K2HgSCl2O4
_symmetry_space_group_name_H-M 'P -1'
_symmetry_Int_Tables_number 2
_cell_length_a 6.099
_cell_length_b 7.388
_cell_length_c 10.765
_cell_angle_alpha 76.35
_cell_angle_beta 87.68
_cell_angle_gamma 67.66
loop_
_symmetry_equiv_pos_as_xyz
'x,y,z'
'-x,-y,-z'
loop_
_atom_site_label
_atom_site_fract_x
_atom_site_fract_y
_atom_site_fract_z
K1 0.009 0.032 0.264
K2 0.293 0.308 0.904
Hg1 0.332 0.328 0.446
S1 0.295 0.451 0.207
Cl1 0.162 0.678 0.540
Cl2 0.433 0.098 0.662
O1 0.152 0.359 0.155
O2 0.173 0.674 0.180
O3 0.250 0.898 0.967
O4 0.459 0.612 0.837
```